# 1
Computed X-ray diffraction stick pattern
Compound: Er3Sc2In2
Radiation: Cu Kα X-rays
Structure: a structure optimized by DFT (PBE)
Lines closer than 0.1° are merged.

Principal peaks in the range 2θ from 10° to 90°, by angle:
2theta  d [Å]  I/Imax
32.72  2.737  32
34.06  2.633  100
35.22  2.548  61
44.61  2.031  17
47.93  1.898  22
68.78  1.365  25

a b c (Å): 5.270 3.193 10.947
angles (deg): 90.00 103.81 90.00
Atoms (fractional coordinates):
Er 0.000 0.000 0.000
Er 0.289 0.000 0.579
Er 0.711 0.000 0.421
Sc 0.430 0.000 0.858
Sc 0.570 0.000 0.142
In 0.143 0.500 0.285
In 0.857 0.500 0.715


# 2
Computed X-ray diffraction stick pattern
Compound: LiPr12Hg6
Radiation: Cu Kα X-rays
Structure: a structure optimized by DFT (PBE)
Lines closer than 0.1° are merged.

Principal peaks in the range 2θ from 10° to 90°, by angle:
2theta  d [Å]  I/Imax
11.51  7.685  16
31.10  2.876  100
31.40  2.849  37
36.15  2.485  68
52.25  1.751  22
61.89  1.499  18

a b c (Å): 9.320 9.320 9.320
angles (deg): 111.09 111.09 111.09
Atoms (fractional coordinates):
Li 0.000 0.000 0.000
Pr 0.082 0.169 0.724
Pr 0.169 0.724 0.082
Pr 0.191 0.347 0.481
Pr 0.276 0.918 0.831
Pr 0.347 0.481 0.191
Pr 0.481 0.191 0.347
Pr 0.519 0.809 0.653
Pr 0.653 0.519 0.809
Pr 0.724 0.082 0.169
Pr 0.809 0.653 0.519
Pr 0.831 0.276 0.918
Pr 0.918 0.831 0.276
Hg 0.074 0.588 0.357
Hg 0.357 0.074 0.588
Hg 0.412 0.643 0.926
Hg 0.588 0.357 0.074
Hg 0.643 0.926 0.412
Hg 0.926 0.412 0.643


# 3
Computed X-ray diffraction stick pattern
Compound: LiHfTcO6
Radiation: Cu Kα X-rays
Structure: a structure optimized by DFT (PBE)
Lines closer than 0.1° are merged.

Principal peaks in the range 2θ from 10° to 90°, by angle:
2theta  d [Å]  I/Imax
19.37  4.581  31
20.83  4.264  90
26.16  3.407  100
32.76  2.734  30
34.78  2.580  71
51.94  1.761  64

a b c (Å): 4.818 4.818 9.163
angles (deg): 90.00 90.00 90.00
Atoms (fractional coordinates):
Li 0.000 0.000 0.000
Li 0.500 0.500 0.500
Hf 0.000 0.000 0.665
Hf 0.500 0.500 0.165
Tc 0.000 0.000 0.328
Tc 0.500 0.500 0.828
O 0.186 0.186 0.483
O 0.198 0.198 0.184
O 0.220 0.220 0.820
O 0.280 0.720 0.320
O 0.302 0.698 0.684
O 0.314 0.686 0.983
O 0.686 0.314 0.983
O 0.698 0.302 0.684
O 0.720 0.280 0.320
O 0.780 0.780 0.820
O 0.802 0.802 0.184
O 0.814 0.814 0.483


# 4
Computed X-ray diffraction stick pattern
Compound: YHo2Sc7
Radiation: Cu Kα X-rays
Structure: a structure optimized by DFT (PBE)
Lines closer than 0.1° are merged.

Principal peaks in the range 2θ from 10° to 90°, by angle:
2theta  d [Å]  I/Imax
16.32  5.433  25
32.77  2.733  100
32.97  2.717  35
37.99  2.369  23
38.12  2.360  44
55.08  1.667  21

a b c (Å): 5.763 5.801 8.843
angles (deg): 102.43 108.93 99.64
Atoms (fractional coordinates):
Y 0.000 0.000 0.000
Ho 0.206 0.603 0.207
Ho 0.794 0.397 0.793
Sc 0.000 0.500 0.500
Sc 0.199 0.094 0.695
Sc 0.398 0.697 0.897
Sc 0.402 0.202 0.403
Sc 0.598 0.798 0.597
Sc 0.602 0.303 0.103
Sc 0.801 0.906 0.305


# 5
Computed X-ray diffraction stick pattern
Compound: NdZn4Ag
Radiation: Cu Kα X-rays
Structure: a structure optimized by DFT (PBE)
Lines closer than 0.1° are merged.

Principal peaks in the range 2θ from 10° to 90°, by angle:
2theta  d [Å]  I/Imax
32.93  2.720  36
34.34  2.611  44
34.60  2.593  100
34.79  2.578  33
36.05  2.492  50
38.01  2.367  54

a b c (Å): 8.324 16.423 3.384
angles (deg): 90.00 90.00 90.00
Atoms (fractional coordinates):
Nd 0.123 0.154 0.000
Nd 0.377 0.654 0.000
Nd 0.623 0.346 0.000
Nd 0.877 0.846 0.000
Zn 0.027 0.695 0.500
Zn 0.124 0.961 0.500
Zn 0.128 0.550 0.500
Zn 0.214 0.810 0.500
Zn 0.286 0.310 0.500
Zn 0.372 0.050 0.500
Zn 0.376 0.461 0.500
Zn 0.473 0.195 0.500
Zn 0.527 0.805 0.500
Zn 0.624 0.539 0.500
Zn 0.628 0.950 0.500
Zn 0.714 0.690 0.500
Zn 0.786 0.190 0.500
Zn 0.872 0.450 0.500
Zn 0.876 0.039 0.500
Zn 0.973 0.305 0.500
Ag 0.129 0.414 0.000
Ag 0.371 0.914 0.000
Ag 0.629 0.086 0.000
Ag 0.871 0.586 0.000


# 6
Computed X-ray diffraction stick pattern
Compound: Sc4Tl
Radiation: Cu Kα X-rays
Structure: a structure optimized by DFT (PBE)
Lines closer than 0.1° are merged.

Principal peaks in the range 2θ from 10° to 90°, by angle:
2theta  d [Å]  I/Imax
15.24  5.812  45
25.88  3.443  69
34.43  2.605  100
34.66  2.588  96
36.79  2.443  43
37.06  2.425  49

a b c (Å): 8.603 8.603 8.603
angles (deg): 147.01 137.14 55.13
Atoms (fractional coordinates):
Sc 0.000 0.000 0.000
Sc 0.200 0.197 0.004
Sc 0.307 0.803 0.504
Sc 0.357 0.607 0.750
Sc 0.500 0.000 0.500
Sc 0.643 0.393 0.250
Sc 0.693 0.197 0.496
Sc 0.800 0.803 0.996
Tl 0.141 0.391 0.750
Tl 0.859 0.609 0.250